Record 1
Starting from a DFT-relaxed cell (PBE, Alexandria), the powder X-ray diffraction pattern of K2U2AlS6 was computed for copper Kα.
Lines closer than 0.1° are merged.

Crystal structure
```
data_K2U2AlS6
_cell_length_a 6.7653
_cell_length_b 11.5748
_cell_length_c 7.8906
_cell_angle_alpha 90.00
_cell_angle_beta 106.70
_cell_angle_gamma 90.00
_symmetry_space_group_name_H-M 'C 1 2/m 1'
_symmetry_Int_Tables_number 12
loop_
_symmetry_equiv_pos_as_xyz
'x,y,z'
'-x,-y,-z'
'-x,y,-z'
'x,-y,z'
'x+1/2,y+1/2,z'
'-x+1/2,-y+1/2,-z'
'-x+1/2,y+1/2,-z'
'x+1/2,-y+1/2,z'
loop_
_atom_site_label
_atom_site_type_symbol
_atom_site_fract_x
_atom_site_fract_y
_atom_site_fract_z
K1 K 0.0000 0.1694 0.0000
U1 U 0.0000 0.3337 0.5000
Al1 Al 0.0000 0.0000 0.5000
S1 S 0.2200 0.1555 0.6906
S2 S 0.2356 0.0000 0.3141
```

The 10 most intense peaks (5° ≤ 2θ ≤ 70°), sorted by position:
| two_theta | d_spacing | Rel. int. | index |
| --- | --- | --- | --- |
| 11.71 | 7.558 | 100 | 0 0 1 |
| 17.07 | 5.195 | 19 | 1 1 -1 |
| 23.54 | 3.779 | 15 | 0 0 2 |
| 26.89 | 3.315 | 19 | 1 3 0 |
| 27.75 | 3.215 | 17 | 1 3 -1 |
| 30.76 | 2.907 | 25 | 2 0 -2 |
| 31.01 | 2.884 | 50 | 1 3 1 |
| 38.68 | 2.328 | 15 | 1 3 2 |
| 41.72 | 2.165 | 18 | 1 3 -3 |
| 46.66 | 1.947 | 17 | 3 3 -1 |

---

Record 2
Starting from a DFT-relaxed cell (PBE, Alexandria), the powder X-ray diffraction pattern of CeVCl was computed for copper Kα.
Lines closer than 0.1° are merged.

Crystal structure
```
data_CeVCl
_cell_length_a 3.3579
_cell_length_b 22.4264
_cell_length_c 4.0747
_cell_angle_alpha 90.00
_cell_angle_beta 90.00
_cell_angle_gamma 90.00
_symmetry_space_group_name_H-M 'C m c m'
_symmetry_Int_Tables_number 63
_symmetry_space_group_name_Hall '-C 2c 2'
loop_
_atom_site_label
_atom_site_type_symbol
_atom_site_fract_x
_atom_site_fract_y
_atom_site_fract_z
Ce1 Ce 0.0000 0.1015 0.2500
V1 V 0.0000 0.4832 0.2500
Cl1 Cl 0.0000 0.1833 0.7500
```

The 10 most intense peaks (5° ≤ 2θ ≤ 70°), sorted by position:
| two_theta | d_spacing | Rel. int. | index |
| --- | --- | --- | --- |
| 7.88 | 11.213 | 100 | 0 2 0 |
| 15.81 | 5.607 | 26 | 0 4 0 |
| 23.23 | 3.830 | 36 | 0 2 1 |
| 27.05 | 3.296 | 25 | 0 4 1 |
| 29.15 | 3.063 | 39 | 1 3 0 |
| 32.51 | 2.754 | 34 | 0 6 1 |
| 33.33 | 2.688 | 38 | 1 5 0 |
| 36.71 | 2.448 | 62 | 1 3 1 |
| 39.00 | 2.310 | 32 | 0 8 1 |
| 44.99 | 2.015 | 26 | 1 7 1 |

---

Record 3
Starting from a DFT-relaxed cell (PBE, Alexandria), the powder X-ray diffraction pattern of AlCuO was computed for copper Kα.
Lines closer than 0.1° are merged.

Crystal structure
```
data_AlCuO
_cell_length_a 3.0853
_cell_length_b 3.7724
_cell_length_c 5.9127
_cell_angle_alpha 90.00
_cell_angle_beta 90.00
_cell_angle_gamma 90.00
_symmetry_space_group_name_H-M 'P m m n'
_symmetry_Int_Tables_number 59
loop_
_symmetry_equiv_pos_as_xyz
'x,y,z'
'-x,-y,-z'
'-x+1/2,-y+1/2,z'
'x+1/2,y+1/2,-z'
'x+1/2,-y,-z'
'-x+1/2,y,z'
'-x,y+1/2,-z'
'x,-y+1/2,z'
loop_
_atom_site_label
_atom_site_type_symbol
_atom_site_fract_x
_atom_site_fract_y
_atom_site_fract_z
Al1 Al 0.2500 0.2500 0.1428
Cu1 Cu 0.2500 0.7500 0.5022
O1 O 0.2500 0.7500 0.0458
```

The 10 most intense peaks (5° ≤ 2θ ≤ 70°), sorted by position:
| two_theta | d_spacing | Rel. int. | index |
| --- | --- | --- | --- |
| 14.98 | 5.913 | 67 | 0 0 1 |
| 30.23 | 2.956 | 69 | 0 0 2 |
| 37.66 | 2.388 | 43 | 1 1 0 |
| 40.75 | 2.214 | 100 | 1 1 1 |
| 46.05 | 1.971 | 24 | 0 0 3 |
| 48.25 | 1.886 | 37 | 0 2 0 |
| 49.03 | 1.858 | 87 | 1 1 2 |
| 58.00 | 1.590 | 18 | 0 2 2 |
| 59.96 | 1.543 | 18 | 2 0 0 |
| 68.91 | 1.363 | 14 | 0 2 3 |

---

Record 4
Starting from a DFT-relaxed cell (PBE, Alexandria), the powder X-ray diffraction pattern of CoAsSe2 was computed for copper Kα.
Lines closer than 0.1° are merged.

Crystal structure
```
data_CoAsSe2
_cell_length_a 3.5436
_cell_length_b 4.7372
_cell_length_c 8.6340
_cell_angle_alpha 90.00
_cell_angle_beta 90.00
_cell_angle_gamma 90.00
_symmetry_space_group_name_H-M 'A m m 2'
_symmetry_Int_Tables_number 38
loop_
_symmetry_equiv_pos_as_xyz
'x,y,z'
'-x,-y,z'
'-x,y,z'
'x,-y,z'
'x,y+1/2,z+1/2'
'-x,-y+1/2,z+1/2'
'-x,y+1/2,z+1/2'
'x,-y+1/2,z+1/2'
loop_
_atom_site_label
_atom_site_type_symbol
_atom_site_fract_x
_atom_site_fract_y
_atom_site_fract_z
Co1 Co 0.0000 0.0000 0.0000
As1 As 0.5000 0.0000 0.8174
Se1 Se 0.0000 0.0000 0.5254
Se2 Se 0.5000 0.0000 0.1871
```

The 10 most intense peaks (5° ≤ 2θ ≤ 70°), sorted by position:
| two_theta | d_spacing | Rel. int. | index |
| --- | --- | --- | --- |
| 21.40 | 4.153 | 11 | 0 1 1 |
| 32.69 | 2.739 | 100 | 1 0 2 |
| 33.23 | 2.696 | 20 | 1 1 1 |
| 36.53 | 2.460 | 32 | 0 1 3 |
| 37.99 | 2.369 | 48 | 0 2 0 |
| 44.86 | 2.021 | 27 | 1 1 3 |
| 50.97 | 1.792 | 55 | 1 2 2 |
| 51.58 | 1.772 | 20 | 2 0 0 |
| 64.83 | 1.438 | 18 | 0 0 6 |
| 65.83 | 1.419 | 18 | 2 2 0 |